The following is a calculated powder XRD pattern of PrSm4Tm2. It was derived from the GGA-PBE geometry in Alexandria, using Cu Kα (weighted mean of Kα1 and Kα2).
Intensities are scaled so that the largest is 100.

Structural model:
```
data_PrSm4Tm2
_cell_length_a 7.195
_cell_length_b 8.047
_cell_length_c 8.812
_cell_angle_alpha 68.70
_cell_angle_beta 89.84
_cell_angle_gamma 77.05
_space_group_name_H-M_alt 'P 1'
_space_group_IT_number 1
_space_group_name_Hall 'P 1'
loop_
_atom_site_label
_atom_site_fract_x
_atom_site_fract_y
_atom_site_fract_z
Pr1 0.000 0.000 0.000
Pr2 0.431 0.284 0.572
Sm1 0.073 0.712 0.429
Sm2 0.217 0.140 0.286
Sm3 0.289 0.851 0.716
Sm4 0.360 0.570 0.144
Sm5 0.644 0.425 0.859
Sm6 0.787 0.853 0.715
Sm7 0.859 0.569 0.144
Sm8 0.929 0.285 0.570
Tm1 0.145 0.426 0.859
Tm2 0.502 0.998 0.002
Tm3 0.572 0.716 0.427
Tm4 0.715 0.138 0.286
```

The 8 most intense peaks (2θ from 10° to 90°), sorted by position:
hkl	2theta	intensity
2 2 1	30.42	100
2 0 2	35.27	51
4 1 0	50.72	24
4 2 3	60.23	14
2 5 3	60.32	18
0 4 5	60.40	11
4 4 2	63.33	9
6 3 1	82.61	10

The following is a calculated powder XRD pattern of PrSm5Tm3. It was derived from the GGA-PBE geometry in Alexandria, using Cu Kα (weighted mean of Kα1 and Kα2).
Intensities are scaled so that the largest is 100.

Structural model:
```
data_PrSm5Tm3
_cell_length_a 16.389
_cell_length_b 6.738
_cell_length_c 11.546
_cell_angle_alpha 90.00
_cell_angle_beta 109.94
_cell_angle_gamma 90.00
_space_group_name_H-M_alt 'C 1 2/c 1'
_space_group_IT_number 15
_space_group_name_Hall '-C 2yc'
loop_
_atom_site_label
_atom_site_fract_x
_atom_site_fract_y
_atom_site_fract_z
Pr1 0.000 0.242 0.250
Sm1 0.000 0.312 0.750
Sm2 0.112 0.494 0.052
Sm3 0.172 0.090 0.847
Tm1 0.000 0.000 0.000
Tm2 0.240 0.401 0.373
```

The 8 most intense peaks (2θ from 10° to 90°), sorted by position:
hkl	2theta	intensity
3 1 2	30.76	40
2 0 -4	31.01	100
0 2 2	31.22	41
2 2 -2	31.32	17
5 1 0	31.94	12
4 0 2	32.78	13
4 2 -2	35.54	15
7 1 -6	55.35	17

The following is a calculated powder XRD pattern of Pr8Sm2Tm3. It was derived from the GGA-PBE geometry in Alexandria, using Cu Kα (weighted mean of Kα1 and Kα2).
Intensities are scaled so that the largest is 100.

Structural model:
```
data_Pr8Sm2Tm3
_cell_length_a 13.562
_cell_length_b 11.821
_cell_length_c 6.168
_cell_angle_alpha 90.00
_cell_angle_beta 113.68
_cell_angle_gamma 90.00
_space_group_name_H-M_alt 'C 1 2/m 1'
_space_group_IT_number 12
_space_group_name_Hall '-C 2y'
loop_
_atom_site_label
_atom_site_fract_x
_atom_site_fract_y
_atom_site_fract_z
Pr1 0.086 0.000 0.258
Pr2 0.138 0.500 0.612
Pr3 0.160 0.262 0.153
Sm1 0.187 0.000 0.834
Tm1 0.000 0.233 0.500
Tm2 0.000 0.500 0.000
```

The 8 most intense peaks (2θ from 10° to 90°), sorted by position:
hkl	2theta	intensity
2 0 -2	29.00	21
2 2 1	29.46	40
0 4 0	30.24	56
1 1 -2	30.46	28
4 2 -1	30.70	100
3 1 1	32.43	25
1 3 -2	37.44	17
4 6 -1	54.03	25

The following is a calculated powder XRD pattern of Pr6SmTm6. It was derived from the GGA-PBE geometry in Alexandria, using Cu Kα (weighted mean of Kα1 and Kα2).
Intensities are scaled so that the largest is 100.

Structural model:
```
data_Pr6SmTm6
_cell_length_a 7.116
_cell_length_b 11.232
_cell_length_c 11.191
_cell_angle_alpha 90.00
_cell_angle_beta 90.00
_cell_angle_gamma 90.00
_space_group_name_H-M_alt 'C m m m'
_space_group_IT_number 65
_space_group_name_Hall '-C 2 2'
loop_
_atom_site_label
_atom_site_fract_x
_atom_site_fract_y
_atom_site_fract_z
Pr1 0.000 0.000 0.174
Pr2 0.000 0.267 0.000
Pr3 0.000 0.359 0.500
Sm1 0.000 0.000 0.500
Tm1 0.000 0.500 0.201
Tm2 0.250 0.250 0.274
```

The 8 most intense peaks (2θ from 10° to 90°), sorted by position:
hkl	2theta	intensity
0 2 3	28.73	71
2 2 0	29.74	91
1 3 2	31.38	28
0 4 0	31.87	38
0 0 4	31.99	30
2 2 2	33.85	100
2 0 3	34.85	29
0 4 2	35.81	37

The following is a calculated powder XRD pattern of PrSm8Tm4. It was derived from the GGA-PBE geometry in Alexandria, using Cu Kα (weighted mean of Kα1 and Kα2).
Intensities are scaled so that the largest is 100.

Structural model:
```
data_PrSm8Tm4
_cell_length_a 7.3168
_cell_length_b 7.3168
_cell_length_c 27.9001
_cell_angle_alpha 90.00
_cell_angle_beta 90.00
_cell_angle_gamma 120.00
_space_group_name_H-M_alt 'R -3 m'
_space_group_IT_number 166
_space_group_name_Hall '-R 3 2"'
loop_
_atom_site_label
_atom_site_fract_x
_atom_site_fract_y
_atom_site_fract_z
Pr1 0.0000 0.0000 0.0000
Sm1 0.0000 0.0000 0.2830
Sm2 0.0334 0.5167 0.2655
Tm1 0.0000 0.0000 0.5000
Tm2 0.0000 0.5000 0.5000
```

The 8 most intense peaks (2θ from 10° to 90°), sorted by position:
hkl	2theta	intensity
0 2 1	28.35	18
0 0 9	28.81	31
0 2 4	31.00	100
2 0 5	32.50	38
2 0 8	38.38	34
2 2 0	49.85	29
0 2 13	51.43	16
2 2 9	58.60	20

The following is a calculated powder XRD pattern of Pr2Sm9Tm. It was derived from the GGA-PBE geometry in Alexandria, using Cu Kα (weighted mean of Kα1 and Kα2).
Intensities are scaled so that the largest is 100.

Structural model:
```
data_Pr2Sm9Tm
_cell_length_a 5.131
_cell_length_b 5.131
_cell_length_c 15.402
_cell_angle_alpha 90.00
_cell_angle_beta 90.00
_cell_angle_gamma 90.00
_space_group_name_H-M_alt 'P 4/m m m'
_space_group_IT_number 123
_space_group_name_Hall '-P 4 2'
loop_
_atom_site_label
_atom_site_fract_x
_atom_site_fract_y
_atom_site_fract_z
Pr1 0.000 0.000 0.168
Sm1 0.000 0.500 0.000
Sm2 0.000 0.500 0.336
Sm3 0.500 0.500 0.168
Sm4 0.500 0.500 0.500
Tm1 0.000 0.000 0.500
```

The 8 most intense peaks (2θ from 10° to 90°), sorted by position:
hkl	2theta	intensity
1 1 3	30.16	100
2 0 0	34.97	51
2 2 0	50.29	36
3 1 3	59.77	43
2 2 6	62.72	12
4 0 0	73.87	6
3 3 3	81.81	18
4 2 0	84.42	16

The following is a calculated powder XRD pattern of Pr2Sm4Tm. It was derived from the GGA-PBE geometry in Alexandria, using Cu Kα (weighted mean of Kα1 and Kα2).
Intensities are scaled so that the largest is 100.

Structural model:
```
data_Pr2Sm4Tm
_cell_length_a 5.396
_cell_length_b 11.524
_cell_length_c 15.559
_cell_angle_alpha 90.00
_cell_angle_beta 90.00
_cell_angle_gamma 90.00
_space_group_name_H-M_alt 'C m c e'
_space_group_IT_number 64
_space_group_name_Hall '-C 2ac 2'
loop_
_atom_site_label
_atom_site_fract_x
_atom_site_fract_y
_atom_site_fract_z
Pr1 0.000 0.103 0.156
Sm1 0.000 0.105 0.694
Sm2 0.000 0.205 0.930
Tm1 0.000 0.000 0.500
```

The 8 most intense peaks (2θ from 10° to 90°), sorted by position:
hkl	2theta	intensity
1 3 1	29.11	44
1 1 4	29.35	100
1 3 2	30.80	86
2 0 0	33.19	90
1 1 5	34.16	32
2 4 2	47.64	23
1 7 2	59.94	18
1 5 7	60.34	36

The following is a calculated powder XRD pattern of Pr2Sm8Tm3. It was derived from the GGA-PBE geometry in Alexandria, using Cu Kα (weighted mean of Kα1 and Kα2).
Intensities are scaled so that the largest is 100.

Structural model:
```
data_Pr2Sm8Tm3
_cell_length_a 7.755
_cell_length_b 5.412
_cell_length_c 11.017
_cell_angle_alpha 90.00
_cell_angle_beta 107.85
_cell_angle_gamma 90.00
_space_group_name_H-M_alt 'P 1 2/m 1'
_space_group_IT_number 10
_space_group_name_Hall '-P 2y'
loop_
_atom_site_label
_atom_site_fract_x
_atom_site_fract_y
_atom_site_fract_z
Pr1 0.203 0.000 0.028
Sm1 0.038 0.000 0.329
Sm2 0.230 0.500 0.874
Sm3 0.305 0.500 0.258
Sm4 0.402 0.000 0.757
Tm1 0.230 0.500 0.559
Tm2 0.500 0.000 0.500
```

The 8 most intense peaks (2θ from 10° to 90°), sorted by position:
hkl	2theta	intensity
2 1 0	29.29	46
1 1 -3	29.71	100
0 1 3	30.44	14
1 0 3	31.50	14
2 1 1	32.59	48
0 2 0	33.11	51
3 0 -3	37.71	13
1 3 -3	57.05	16

The following is a calculated powder XRD pattern of Pr3Sm2Tm5. It was derived from the GGA-PBE geometry in Alexandria, using Cu Kα (weighted mean of Kα1 and Kα2).
Intensities are scaled so that the largest is 100.

Structural model:
```
data_Pr3Sm2Tm5
_cell_length_a 10.607
_cell_length_b 16.223
_cell_length_c 9.352
_cell_angle_alpha 90.00
_cell_angle_beta 124.50
_cell_angle_gamma 90.00
_space_group_name_H-M_alt 'C 1 2/c 1'
_space_group_IT_number 15
_space_group_name_Hall '-C 2yc'
loop_
_atom_site_label
_atom_site_fract_x
_atom_site_fract_y
_atom_site_fract_z
Pr1 0.000 0.234 0.250
Pr2 0.149 0.123 0.048
Sm1 0.148 0.382 0.546
Tm1 0.000 0.026 0.250
Tm2 0.000 0.272 0.750
Tm3 0.000 0.472 0.750
Tm4 0.247 0.388 0.242
```

The 8 most intense peaks (2θ from 10° to 90°), sorted by position:
hkl	2theta	intensity
2 4 -2	30.06	100
2 2 1	30.72	91
0 4 2	32.04	20
4 0 -2	33.80	43
0 6 3	48.90	19
6 4 -4	58.16	18
4 6 1	60.77	22
2 4 4	67.34	19

The following is a calculated powder XRD pattern of Pr5Sm4Tm2. It was derived from the GGA-PBE geometry in Alexandria, using Cu Kα (weighted mean of Kα1 and Kα2).
Intensities are scaled so that the largest is 100.

Structural model:
```
data_Pr5Sm4Tm2
_cell_length_a 3.542
_cell_length_b 9.409
_cell_length_c 23.545
_cell_angle_alpha 90.00
_cell_angle_beta 90.00
_cell_angle_gamma 90.00
_space_group_name_H-M_alt 'I m m m'
_space_group_IT_number 71
_space_group_name_Hall '-I 2 2'
loop_
_atom_site_label
_atom_site_fract_x
_atom_site_fract_y
_atom_site_fract_z
Pr1 0.000 0.000 0.000
Pr2 0.000 0.294 0.349
Sm1 0.000 0.196 0.500
Sm2 0.000 0.500 0.096
Tm1 0.000 0.500 0.230
```

The 8 most intense peaks (2θ from 10° to 90°), sorted by position:
hkl	2theta	intensity
1 1 2	27.96	41
0 1 7	28.17	26
0 2 6	29.65	67
0 3 3	30.70	61
1 2 1	31.85	100
1 1 6	35.45	32
1 0 7	36.85	45
1 2 13	60.67	51

The following is a calculated powder XRD pattern of Pr4SmTm10. It was derived from the GGA-PBE geometry in Alexandria, using Cu Kα (weighted mean of Kα1 and Kα2).
Intensities are scaled so that the largest is 100.

Structural model:
```
data_Pr4SmTm10
_cell_length_a 11.226
_cell_length_b 11.226
_cell_length_c 7.972
_cell_angle_alpha 90.00
_cell_angle_beta 90.00
_cell_angle_gamma 90.00
_space_group_name_H-M_alt 'I 4/m m m'
_space_group_IT_number 139
_space_group_name_Hall '-I 4 2'
loop_
_atom_site_label
_atom_site_fract_x
_atom_site_fract_y
_atom_site_fract_z
Pr1 0.227 0.227 0.000
Sm1 0.000 0.000 0.000
Tm1 0.000 0.208 0.296
Tm2 0.000 0.500 0.250
```

The 8 most intense peaks (2θ from 10° to 90°), sorted by position:
hkl	2theta	intensity
3 1 0	25.07	16
2 0 2	27.44	27
3 2 1	30.83	28
4 0 0	31.85	100
3 3 0	33.84	36
1 0 3	34.69	17
3 3 2	40.95	34
7 3 2	67.78	17

The following is a calculated powder XRD pattern of PrSmTm6. It was derived from the GGA-PBE geometry in Alexandria, using Cu Kα (weighted mean of Kα1 and Kα2).
Intensities are scaled so that the largest is 100.

Structural model:
```
data_PrSmTm6
_cell_length_a 4.998
_cell_length_b 4.998
_cell_length_c 9.993
_cell_angle_alpha 90.00
_cell_angle_beta 90.00
_cell_angle_gamma 90.00
_space_group_name_H-M_alt 'P 4/m m m'
_space_group_IT_number 123
_space_group_name_Hall '-P 4 2'
loop_
_atom_site_label
_atom_site_fract_x
_atom_site_fract_y
_atom_site_fract_z
Pr1 0.000 0.000 0.000
Sm1 0.000 0.000 0.500
Tm1 0.000 0.500 0.252
Tm2 0.500 0.500 0.000
Tm3 0.500 0.500 0.500
```

The 8 most intense peaks (2θ from 10° to 90°), sorted by position:
hkl	2theta	intensity
1 1 2	30.99	100
2 0 0	35.94	51
2 2 0	51.74	36
3 1 2	61.55	43
2 2 4	64.60	12
4 0 0	76.20	6
3 3 2	84.51	18
4 2 0	87.24	17

What is the formula in the fifth record?
PrSm8Tm4